Entry 1:
LiVRu3: theoretical powder X-ray diffraction pattern (Cu Kα X-rays), based on a PBE-relaxed structure.
Kinematic intensities with the Lorentz-polarization factor, no thermal factor.

Structural model:
Cell lengths 4.476, 4.476, 4.476 Å; angles 90.00, 90.00, 90.00 degrees
Sites, in units of the cell vectors:
Li 0.000 0.000 0.000
V 0.500 0.500 0.500
Ru 0.000 0.500 0.500
Ru 0.500 0.000 0.500
Ru 0.500 0.500 0.000

Peak list (10 most intense, 5° ≤ 2θ ≤ 70°, sorted by position)
- d 4.476, intensity 1000
- d 3.165, intensity 83
- d 2.584, intensity 993
- d 2.238, intensity 929
- d 2.002, intensity 431
- d 1.827, intensity 37
- d 1.583, intensity 608
- d 1.492, intensity 199
- d 1.415, intensity 16
- d 1.350, intensity 384

---

Entry 2:
Sn5Te4P: theoretical powder X-ray diffraction pattern (Cu Kα X-rays), based on a PBE-relaxed structure.
Kinematic intensities with the Lorentz-polarization factor, no thermal factor.

Structural model:
Cell lengths 4.350, 4.519, 16.015 Å; angles 82.04, 82.26, 89.74 degrees
Sites, in units of the cell vectors:
Sn 0.000 0.000 0.000
Sn 0.172 0.171 0.653
Sn 0.384 0.372 0.231
Sn 0.589 0.668 0.826
Sn 0.790 0.778 0.422
Te 0.284 0.265 0.431
Te 0.485 0.464 0.025
Te 0.683 0.663 0.628
Te 0.887 0.868 0.223
P 0.085 0.050 0.827

Peak list (10 most intense, 5° ≤ 2θ ≤ 70°, sorted by position)
- d 3.142, intensity 1000
- d 3.127, intensity 551
- d 2.260, intensity 192
- d 2.226, intensity 173
- d 2.217, intensity 519
- d 2.175, intensity 202
- d 1.832, intensity 95
- d 1.789, intensity 187
- d 1.571, intensity 101
- d 1.404, intensity 116

---

Entry 3:
HPd6Au2N: theoretical powder X-ray diffraction pattern (Cu Kα X-rays), based on a PBE-relaxed structure.
Kinematic intensities with the Lorentz-polarization factor, no thermal factor.

Structural model:
Cell lengths 5.837, 5.828, 5.816 Å; angles 60.17, 60.01, 59.82 degrees
Sites, in units of the cell vectors:
H 0.000 0.000 0.000
Pd 0.247 0.753 0.247
Pd 0.247 0.753 0.753
Pd 0.248 0.248 0.752
Pd 0.752 0.752 0.248
Pd 0.753 0.247 0.247
Pd 0.753 0.247 0.753
Au 0.250 0.250 0.250
Au 0.750 0.750 0.750
N 0.500 0.500 0.500

Peak list (10 most intense, 5° ≤ 2θ ≤ 70°, sorted by position)
- d 4.127, intensity 47
- d 2.916, intensity 62
- d 2.908, intensity 31
- d 2.379, intensity 1000
- d 2.068, intensity 174
- d 2.060, intensity 172
- d 2.053, intensity 171
- d 1.459, intensity 112
- d 1.457, intensity 111
- d 1.454, intensity 111

---

Entry 4:
La8Pr3In: theoretical powder X-ray diffraction pattern (Cu Kα X-rays), based on a PBE-relaxed structure.
Kinematic intensities with the Lorentz-polarization factor, no thermal factor.

Structural model:
Cell lengths 8.599, 8.599, 8.599 Å; angles 118.41, 118.41, 92.78 degrees
Sites, in units of the cell vectors:
La 0.122 0.122 0.745
La 0.246 0.739 0.000
La 0.261 0.261 0.507
La 0.377 0.377 0.255
La 0.623 0.878 0.000
La 0.739 0.246 0.000
La 0.754 0.754 0.493
La 0.878 0.623 0.000
Pr 0.250 0.750 0.500
Pr 0.500 0.500 0.000
Pr 0.750 0.250 0.500
In 0.000 0.000 0.000

Peak list (10 most intense, 5° ≤ 2θ ≤ 70°, sorted by position)
- d 3.737, intensity 641
- d 3.535, intensity 555
- d 3.113, intensity 776
- d 2.965, intensity 761
- d 2.789, intensity 396
- d 2.520, intensity 1000
- d 2.147, intensity 539
- d 2.064, intensity 463
- d 1.556, intensity 274
- d 1.378, intensity 289

---

Entry 5:
LiMgGaPd2: theoretical powder X-ray diffraction pattern (Cu Kα X-rays), based on a PBE-relaxed structure.
Kinematic intensities with the Lorentz-polarization factor, no thermal factor.

Structural model:
Cell lengths 6.280, 3.807, 6.458 Å; angles 90.00, 90.19, 90.00 degrees
Sites, in units of the cell vectors:
Li 0.241 0.250 0.269
Li 0.759 0.750 0.731
Mg 0.317 0.750 0.953
Mg 0.683 0.250 0.047
Ga 0.180 0.750 0.548
Ga 0.820 0.250 0.452
Pd 0.037 0.250 0.803
Pd 0.470 0.250 0.669
Pd 0.530 0.750 0.331
Pd 0.963 0.750 0.197

Peak list (10 most intense, 5° ≤ 2θ ≤ 70°, sorted by position)
- d 6.458, intensity 252
- d 4.495, intensity 351
- d 3.279, intensity 695
- d 3.140, intensity 195
- d 2.291, intensity 859
- d 2.270, intensity 1000
- d 2.037, intensity 358
- d 1.990, intensity 250
- d 1.903, intensity 283
- d 1.391, intensity 202

---

Entry 6:
SrHg12Pb6: theoretical powder X-ray diffraction pattern (Cu Kα X-rays), based on a PBE-relaxed structure.
Kinematic intensities with the Lorentz-polarization factor, no thermal factor.

Structural model:
Cell lengths 8.750, 8.750, 8.750 Å; angles 105.77, 105.77, 105.77 degrees
Sites, in units of the cell vectors:
Sr 0.000 0.000 0.000
Hg 0.105 0.500 0.895
Hg 0.105 0.895 0.500
Hg 0.122 0.351 0.351
Hg 0.351 0.122 0.351
Hg 0.351 0.351 0.122
Hg 0.500 0.105 0.895
Hg 0.500 0.895 0.105
Hg 0.649 0.649 0.878
Hg 0.649 0.878 0.649
Hg 0.878 0.649 0.649
Hg 0.895 0.105 0.500
Hg 0.895 0.500 0.105
Pb 0.276 0.689 0.689
Pb 0.311 0.311 0.724
Pb 0.311 0.724 0.311
Pb 0.689 0.276 0.689
Pb 0.689 0.689 0.276
Pb 0.724 0.311 0.311

Peak list (10 most intense, 5° ≤ 2θ ≤ 70°, sorted by position)
- d 3.185, intensity 621
- d 3.066, intensity 447
- d 2.676, intensity 1000
- d 2.604, intensity 574
- d 2.438, intensity 744
- d 2.356, intensity 448
- d 2.231, intensity 307
- d 2.186, intensity 437
- d 1.432, intensity 372
- d 1.395, intensity 231

---

Entry 7:
TlIn2TeO8: theoretical powder X-ray diffraction pattern (Cu Kα X-rays), based on a PBE-relaxed structure.
Kinematic intensities with the Lorentz-polarization factor, no thermal factor.

Structural model:
Cell lengths 4.895, 6.784, 4.896 Å; angles 90.00, 91.98, 90.00 degrees
Sites, in units of the cell vectors:
Tl 0.000 0.000 0.000
In 0.500 0.254 0.500
In 0.500 0.746 0.500
Te 0.000 0.500 0.000
O 0.188 0.288 0.813
O 0.188 0.712 0.813
O 0.289 0.500 0.290
O 0.311 0.000 0.312
O 0.689 0.000 0.688
O 0.711 0.500 0.710
O 0.812 0.288 0.187
O 0.812 0.712 0.187

Peak list (10 most intense, 5° ≤ 2θ ≤ 70°, sorted by position)
- d 3.521, intensity 587
- d 3.401, intensity 540
- d 2.787, intensity 1000
- d 2.446, intensity 329
- d 1.857, intensity 399
- d 1.821, intensity 370
- d 1.563, intensity 99
- d 1.528, intensity 105
- d 1.470, intensity 219
- d 1.394, intensity 110